# RbIn2Pb
Computed powder X-ray diffraction pattern, a wavelength of 1.5418 Å. Input: DFT lattice parameters and positions (GGA-PBE).
Neutral-atom scattering factors, no anomalous dispersion.

Structural model:
Lattice parameters (Å, degrees): 13.3331 5.0226 8.4572 90.00 96.64 90.00
Space group Cm (No. 8)
Inequivalent atoms, fractional coordinates:
Rb  0.0000  0.0000  0.0000 [2 per cell]
Rb  0.1074  0.0000  0.4613 [2 per cell]
In  0.1683  0.5000  0.7868 [2 per cell]
In  0.2810  0.0000  0.9230 [2 per cell]
In  0.3907  0.0000  0.2823 [2 per cell]
In  0.4389  0.0000  0.6797 [2 per cell]
Pb  0.2242  0.5000  0.1689 [2 per cell]
Pb  0.3268  0.5000  0.5403 [2 per cell]

Principal peaks in the range 10° ≤ 2θ ≤ 90°, in order of rising 2θ:
two_theta, I_rel, (hkl)
13.37, 48, 2 0 0
26.89, 37, 3 1 0
28.06, 96, 3 1 -1
29.10, 100, 1 1 2
33.27, 51, 2 0 -3
35.75, 54, 0 2 0
35.93, 40, 3 1 2
36.69, 22, 1 1 -3
38.83, 30, 5 1 -1
49.63, 33, 2 2 -3

=====

# CaSiAu11
Computed powder X-ray diffraction pattern, a wavelength of 1.5418 Å. Input: DFT lattice parameters and positions (GGA-PBE).
Neutral-atom scattering factors, no anomalous dispersion.

Structural model:
Lattice parameters (Å, degrees): 5.4614 13.6511 6.9982 90.00 106.14 90.00
Space group C2/m (No. 12)
Inequivalent atoms, fractional coordinates:
Ca  0.0000  0.0000  0.0000 [2 per cell]
Si  0.0000  0.5000  0.5000 [2 per cell]
Au  0.0000  0.0000  0.5000 [2 per cell]
Au  0.0659  0.3958  0.2239 [8 per cell]
Au  0.1340  0.1776  0.3497 [8 per cell]
Au  0.2500  0.2500  0.0000 [4 per cell]

Principal peaks in the range 10° ≤ 2θ ≤ 90°, in order of rising 2θ:
two_theta, I_rel, (hkl)
12.97, 39, 0 2 0
36.12, 45, 1 1 2
36.70, 31, 2 2 0
37.13, 100, 1 5 0
37.56, 75, 0 4 2
39.51, 36, 2 2 -2
40.23, 51, 2 0 1
41.92, 35, 0 6 1
42.46, 42, 0 2 3
42.58, 49, 2 4 -1

=====

# Tc2PH2
Computed powder X-ray diffraction pattern, a wavelength of 1.5418 Å. Input: DFT lattice parameters and positions (GGA-PBE).
Neutral-atom scattering factors, no anomalous dispersion.

Structural model:
Lattice parameters (Å, degrees): 3.7189 3.7189 7.2544 90.00 90.00 90.00
Space group I4/mmm (No. 139)
Inequivalent atoms, fractional coordinates:
Tc  0.0000  0.0000  0.1749 [4 per cell]
P  0.0000  0.0000  0.5000 [2 per cell]
H  0.0000  0.5000  0.2500 [4 per cell]

Principal peaks in the range 10° ≤ 2θ ≤ 90°, in order of rising 2θ:
two_theta, I_rel, (hkl)
24.54, 18, 0 0 2
26.94, 26, 1 0 1
34.09, 100, 1 1 0
42.46, 15, 1 1 2
44.70, 92, 1 0 3
48.99, 36, 2 0 0
68.47, 50, 2 1 3
81.92, 15, 3 1 0
88.67, 13, 3 0 3
89.14, 12, 1 1 6